(1)
Starting from a PBE-relaxed structure, the powder diffraction line list of PmReO5 was calculated for λ = 1.5418 Å (Cu Kα).
Peak positions follow from Bragg's law for the DFT cell and can differ from measured ones.

Structure:
Cell: 5.6165 5.6165 7.6336 Å, 109.89 109.89 70.93°
Fractional coordinates of all 14 atoms:
1 Pm 0.0531 0.9469 0.7500
2 Pm 0.9469 0.0531 0.2500
3 Re 0.5000 0.5000 0.0000
4 Re 0.5000 0.5000 0.5000
5 O 0.2041 0.7752 0.0355
6 O 0.2248 0.7959 0.4645
7 O 0.2642 0.2950 0.3872
8 O 0.2950 0.2642 0.8872
9 O 0.4329 0.5671 0.7500
10 O 0.5671 0.4329 0.2500
11 O 0.7050 0.7358 0.1128
12 O 0.7358 0.7050 0.6128
13 O 0.7752 0.2041 0.5355
14 O 0.7959 0.2248 0.9645

The 10 most intense peaks (2θ = 5–70°), in order of rising 2θ:
d (Å)  I_rel
4.156  98
3.294  100
3.259  43
2.581  68
2.564  29
2.078  20
1.888  18
1.758  32
1.719  18
1.531  16

(2)
Starting from a PBE-relaxed structure, the powder diffraction line list of Sc3TlS2 was calculated for λ = 1.5418 Å (Cu Kα).
Peak positions follow from Bragg's law for the DFT cell and can differ from measured ones.

Structure:
Cell: 6.9905 6.9905 10.4625 Å, 90.00 90.00 149.91°
Fractional coordinates of all 12 atoms:
1 Sc 0.0296 0.9704 0.7500
2 Sc 0.3597 0.6403 0.5233
3 Sc 0.3597 0.6403 0.9767
4 Sc 0.6403 0.3597 0.0233
5 Sc 0.6403 0.3597 0.4767
6 Sc 0.9704 0.0296 0.2500
7 Tl 0.2843 0.7157 0.2500
8 Tl 0.7157 0.2843 0.7500
9 S 0.0000 0.0000 0.0000
10 S 0.0000 0.0000 0.5000
11 S 0.4019 0.5981 0.7500
12 S 0.5981 0.4019 0.2500

The 10 most intense peaks (2θ = 5–70°), in order of rising 2θ:
d (Å)  I_rel
6.751  47
5.231  61
4.135  61
3.324  83
2.825  89
2.728  100
2.616  68
2.472  60
2.197  80
1.919  50

(3)
Starting from a PBE-relaxed structure, the powder diffraction line list of Mn6Ga3C2N was calculated for λ = 1.5418 Å (Cu Kα).
Peak positions follow from Bragg's law for the DFT cell and can differ from measured ones.

Structure:
Cell: 4.9852 4.9852 6.4698 Å, 97.46 97.46 119.99°
Fractional coordinates of all 12 atoms:
1 Mn 0.0564 0.3879 0.1674
2 Mn 0.2752 0.2752 0.8321
3 Mn 0.3879 0.0564 0.1674
4 Mn 0.6121 0.9436 0.8326
5 Mn 0.7248 0.7248 0.1679
6 Mn 0.9436 0.6121 0.8326
7 Ga 0.1682 0.8318 0.5000
8 Ga 0.5000 0.5000 0.5000
9 Ga 0.8318 0.1682 0.5000
10 C 0.3333 0.6667 0.0000
11 C 0.6667 0.3333 0.0000
12 N 0.0000 0.0000 0.0000

The 10 most intense peaks (2θ = 5–70°), in order of rising 2θ:
d (Å)  I_rel
3.124  2
2.471  32
2.201  100
2.083  29
2.076  63
1.708  11
1.705  6
1.500  3
1.497  6
1.439  30

- Number 1 is which compound?
  PmReO5